# Mn5Cr4O12
Calculated powder diffractogram, Cu Kα, 1.54184 Å. Input: a GGA+U-relaxed structure.
No peak broadening, texture or thermal motion is included.

Top 6 peaks for 5° ≤ 2θ ≤ 70°, most intense first:
two_theta, I_rel, h k l
34.66, 100.0, 0 1 -5
34.73, 67.8, 1 0 -5
61.29, 46.1, 4 0 -2
42.17, 43.1, 0 0 6
55.71, 42.6, 3 -2 1
34.81, 34.1, 2 1 -3

Structure:
```
Mn5Cr4O12
1.0
6.051 0.000 0.000
0.000 6.064 0.000
-2.940 -3.012 12.875
Mn Cr O
10 8 24
direct
0.000 0.000 0.000
0.041 0.791 0.583
0.292 0.541 0.084
0.334 0.334 0.666
0.374 0.125 0.250
0.500 0.500 0.500
0.626 0.875 0.750
0.666 0.666 0.334
0.708 0.459 0.916
0.959 0.209 0.417
0.166 0.666 0.833
0.167 0.167 0.833
0.167 0.665 0.334
0.500 0.000 0.000
0.500 0.000 0.500
0.833 0.335 0.666
0.833 0.833 0.167
0.834 0.334 0.167
0.052 0.078 0.157
0.061 0.588 0.177
0.089 0.561 0.675
0.091 0.118 0.674
0.242 0.775 0.991
0.244 0.218 0.990
0.276 0.741 0.491
0.282 0.256 0.510
0.385 0.412 0.823
0.394 0.921 0.843
0.422 0.893 0.343
0.426 0.450 0.343
0.574 0.550 0.657
0.578 0.107 0.657
0.606 0.079 0.157
0.615 0.588 0.177
0.718 0.744 0.490
0.724 0.259 0.509
0.756 0.782 0.010
0.758 0.225 0.009
0.909 0.882 0.326
0.911 0.439 0.325
0.939 0.412 0.823
0.948 0.922 0.843
```